No. 1
Diffraction record for Tl2CdBiSe4. The powder diffraction line list is calculated, not measured: it uses the PBE geometry in Alexandria and CuKα.
Neutral-atom scattering factors, no anomalous dispersion.

Structure:
```
16
Lattice="-4.2872 4.2949 6.0937 4.2872 -4.2949 6.0937 4.2872 4.2949 -6.0937" Properties=species:S:1:pos:R:3 pbc="T T T"
Tl 0.0000 0.0000 0.0000
Tl -2.1436 2.1475 3.0468
Tl 0.0000 4.2949 0.0000
Tl 2.1436 2.1475 3.0468
Cd 4.2872 0.0000 0.0000
Cd 0.0000 0.0000 6.0937
Bi 2.1436 2.1475 -3.0468
Bi 2.1436 -2.1475 3.0468
Se 4.2872 -0.1114 2.9198
Se 2.3487 2.1475 -0.0862
Se 6.2257 2.1475 -0.0862
Se 4.2872 4.1835 -2.9198
Se 0.0000 0.1114 9.0134
Se -1.9385 2.1475 6.1799
Se 1.9385 2.1475 6.1799
Se 0.0000 4.4063 3.1739
```

Largest 6 diffraction maxima, by intensity, 5 to 70 degrees two-theta:
2θ/deg  d/Å  I/Imax
29.44  3.034  100
42.04  2.149  94
29.31  3.047  51
25.39  3.508  44
52.14  1.754  40
69.18  1.358  25



No. 2
Diffraction record for Nd2Ga3Pt2. The powder diffraction line list is calculated, not measured: it uses the PBE geometry in Alexandria and CuKα.
Neutral-atom scattering factors, no anomalous dispersion.

Structure:
```
14
Lattice="2.1103 -9.3581 0.0000 2.1103 9.3581 0.0000 0.0000 0.0000 7.3332" Properties=species:S:1:pos:R:3 pbc="T T T"
Nd 2.1103 8.1497 5.4999
Nd 2.1103 6.4094 1.8333
Nd 2.1103 -6.4094 5.4999
Nd 2.1103 -8.1497 1.8333
Ga 2.1103 5.0943 5.4999
Ga 2.1103 1.0872 4.2345
Ga 2.1103 1.0872 6.7653
Ga 2.1103 -1.0872 0.5679
Ga 2.1103 -1.0872 3.0987
Ga 2.1103 -5.0943 1.8333
Pt 2.1103 3.5288 0.3804
Pt 2.1103 3.5288 3.2862
Pt 2.1103 -3.5288 4.0470
Pt 2.1103 -3.5288 6.9529
```

Largest 6 diffraction maxima, by intensity, 5 to 70 degrees two-theta:
2θ/deg  d/Å  I/Imax
32.70  2.738  100
34.28  2.616  98
9.45  9.358  92
41.69  2.167  68
35.48  2.530  62
42.85  2.110  55



No. 3
Diffraction record for Cs2BaHg2Se4. The powder diffraction line list is calculated, not measured: it uses the PBE geometry in Alexandria and CuKα.
Neutral-atom scattering factors, no anomalous dispersion.

Structure:
```
9
Lattice="8.7925 -2.3045 0.0000 8.7925 2.3045 0.0000 -2.9476 0.0000 8.1845" Properties=species:S:1:pos:R:3 pbc="T T T"
Cs 2.0972 0.0000 0.4738
Cs 12.5402 0.0000 7.7108
Ba -1.4738 0.0000 4.0923
Hg 4.3276 0.0000 4.3035
Hg 10.3098 0.0000 3.8810
Se 1.6829 0.0000 5.4674
Se 6.2024 0.0000 6.1485
Se 8.4350 0.0000 2.0360
Se 12.9545 0.0000 2.7172
```

Largest 6 diffraction maxima, by intensity, 5 to 70 degrees two-theta:
2θ/deg  d/Å  I/Imax
29.60  3.018  100
10.81  8.185  70
25.17  3.538  53
28.28  3.155  42
46.22  1.964  38
37.02  2.429  35



- Which formula does entry 1 have?
  Tl2CdBiSe4